Starting from a structure optimized by DFT (GGA-PBE), the powder diffractogram of In3S4 was simulated for Cu Kα, 1.54184 Å.

Most intense lines, 15° ≤ 2θ ≤ 90°, in order of rising 2θ:
15.2 deg, rel. 23, hkl 1 0 0
21.5 deg, rel. 24, hkl 1 1 0
26.4 deg, rel. 100, hkl 1 1 1
30.6 deg, rel. 17, hkl 2 0 0
34.3 deg, rel. 16, hkl 2 1 0
43.8 deg, rel. 60, hkl 2 2 0
51.9 deg, rel. 44, hkl 3 1 1
70.2 deg, rel. 17, hkl 3 3 1
80.5 deg, rel. 19, hkl 4 2 2
86.5 deg, rel. 13, hkl 5 1 1

Atomic structure:
a b c (Å): 5.845 5.845 5.845
angles (deg): 90.00 90.00 90.00
Space group P-43m (No. 215)
Symmetry-distinct sites (fractional):
1 In 0.000 0.000 0.500 [3 per cell]
2 S 0.259 0.259 0.259 [4 per cell]

Starting from a structure optimized by DFT (GGA-PBE), the powder diffractogram of TlGaPdPtSe was simulated for Cu Kα, 1.54184 Å.

Most intense lines, 15° ≤ 2θ ≤ 90°, in order of rising 2θ:
18.3 deg, rel. 44, hkl 0 1 0
29.7 deg, rel. 100, hkl 1 -1 0
31.7 deg, rel. 51, hkl 0 0 2
32.2 deg, rel. 56, hkl 1 1 0
32.3 deg, rel. 47, hkl 0 1 -2
35.3 deg, rel. 56, hkl 1 1 -2
37.0 deg, rel. 28, hkl 0 2 0
41.4 deg, rel. 78, hkl -1 1 2
46.8 deg, rel. 31, hkl 1 0 2
48.0 deg, rel. 36, hkl 2 0 -1

Atomic structure:
a b c (Å): 3.790 5.029 6.143
angles (deg): 104.11 107.86 90.00
Space group P1 (No. 1)
Symmetry-distinct sites (fractional):
1 Tl 0.000 0.000 0.000 [1 per cell]
2 Ga 0.805 0.366 0.615 [1 per cell]
3 Pd 0.461 0.460 0.930 [1 per cell]
4 Pt 0.265 0.033 0.535 [1 per cell]
5 Se 0.678 0.697 0.360 [1 per cell]

Starting from a structure optimized by DFT (GGA-PBE), the powder diffractogram of Ba4TeN was simulated for Cu Kα, 1.54184 Å.

Most intense lines, 15° ≤ 2θ ≤ 90°, in order of rising 2θ:
19.7 deg, rel. 19, hkl 1 3 0
25.3 deg, rel. 58, hkl 2 2 -2
25.8 deg, rel. 100, hkl 1 3 1
29.1 deg, rel. 22, hkl 2 4 -1
29.3 deg, rel. 26, hkl 1 5 -1
30.4 deg, rel. 37, hkl 3 1 -1
31.4 deg, rel. 29, hkl 2 4 0
31.6 deg, rel. 28, hkl 1 1 -3
32.6 deg, rel. 16, hkl 2 2 -3
53.5 deg, rel. 15, hkl 4 6 -3

Atomic structure:
a b c (Å): 9.123 16.585 8.830
angles (deg): 90.00 120.61 90.00
Space group C2/c (No. 15)
Symmetry-distinct sites (fractional):
1 Ba 0.177 0.214 0.179 [8 per cell]
2 Ba 0.218 0.041 0.517 [8 per cell]
3 Te 0.000 0.129 0.750 [4 per cell]
4 N 0.000 0.120 0.250 [4 per cell]

Starting from a structure optimized by DFT (GGA-PBE), the powder diffractogram of ErTiSe3 was simulated for Cu Kα, 1.54184 Å.

Most intense lines, 15° ≤ 2θ ≤ 90°, in order of rising 2θ:
17.5 deg, rel. 88, hkl 1 1 0
24.0 deg, rel. 85, hkl 0 1 2
28.7 deg, rel. 81, hkl 0 2 1
30.0 deg, rel. 54, hkl 1 1 -3
33.9 deg, rel. 79, hkl 3 1 -1
37.0 deg, rel. 99, hkl 3 1 0
38.5 deg, rel. 45, hkl 1 2 2
39.0 deg, rel. 100, hkl 1 1 -4
45.7 deg, rel. 50, hkl 4 0 -4
47.0 deg, rel. 42, hkl 2 3 -2

Atomic structure:
a b c (Å): 8.787 6.643 10.030
angles (deg): 90.00 116.97 90.00
Space group P2_1/c (No. 14)
Symmetry-distinct sites (fractional):
1 Er 0.223 0.190 0.110 [4 per cell]
2 Ti 0.422 0.725 0.520 [4 per cell]
3 Se 0.119 0.661 0.448 [4 per cell]
4 Se 0.291 0.088 0.404 [4 per cell]
5 Se 0.428 0.562 0.289 [4 per cell]

Starting from a structure optimized by DFT (GGA-PBE), the powder diffractogram of Nd3GdF was simulated for Cu Kα, 1.54184 Å.

Most intense lines, 15° ≤ 2θ ≤ 90°, in order of rising 2θ:
24.2 deg, rel. 1, hkl 1 1 0
29.8 deg, rel. 100, hkl 1 1 1
34.6 deg, rel. 58, hkl 2 0 0
49.7 deg, rel. 41, hkl 2 2 0
59.0 deg, rel. 44, hkl 3 1 1
61.9 deg, rel. 14, hkl 2 2 2
72.9 deg, rel. 7, hkl 4 0 0
80.7 deg, rel. 18, hkl 3 3 1
83.2 deg, rel. 18, hkl 4 2 0

Atomic structure:
a b c (Å): 5.192 5.192 5.192
angles (deg): 90.00 90.00 90.00
Space group Pm-3m (No. 221)
Symmetry-distinct sites (fractional):
1 Nd 0.000 0.000 0.500 [3 per cell]
2 Gd 0.500 0.500 0.500 [1 per cell]
3 F 0.000 0.000 0.000 [1 per cell]

Starting from a structure optimized by DFT (GGA-PBE), the powder diffractogram of CsCdSbAs2 was simulated for Cu Kα, 1.54184 Å.

Most intense lines, 15° ≤ 2θ ≤ 90°, in order of rising 2θ:
21.2 deg, rel. 30, hkl 1 1 -1
21.4 deg, rel. 40, hkl 2 0 2
24.2 deg, rel. 42, hkl 4 0 0
25.9 deg, rel. 100, hkl 3 1 0
32.6 deg, rel. 58, hkl 1 1 -3
35.4 deg, rel. 39, hkl 4 0 -3
37.1 deg, rel. 30, hkl 5 1 1
37.3 deg, rel. 53, hkl 0 2 0
48.8 deg, rel. 36, hkl 1 1 5
52.4 deg, rel. 32, hkl 4 2 -3

Atomic structure:
a b c (Å): 14.687 4.823 10.246
angles (deg): 90.00 91.47 90.00
Space group C2/m (No. 12)
Symmetry-distinct sites (fractional):
1 Cs 0.147 0.000 0.173 [4 per cell]
2 Cd 0.192 0.000 0.555 [4 per cell]
3 Sb 0.067 0.500 0.714 [4 per cell]
4 As 0.114 0.500 0.461 [4 per cell]
5 As 0.136 0.000 0.808 [4 per cell]

Starting from a structure optimized by DFT (GGA-PBE), the powder diffractogram of Hf5ZrOs6 was simulated for Cu Kα, 1.54184 Å.

Most intense lines, 15° ≤ 2θ ≤ 90°, in order of rising 2θ:
39.1 deg, rel. 100, hkl 2 0 0
56.4 deg, rel. 12, hkl 2 6 0
56.6 deg, rel. 6, hkl 0 0 4
70.8 deg, rel. 24, hkl 3 3 2
70.9 deg, rel. 12, hkl 2 0 4
83.9 deg, rel. 4, hkl 4 0 0
84.1 deg, rel. 8, hkl 2 6 4

Atomic structure:
a b c (Å): 4.614 13.835 6.500
angles (deg): 90.00 90.00 90.00
Space group Cmmm (No. 65)
Symmetry-distinct sites (fractional):
1 Hf 0.000 0.000 0.000 [2 per cell]
2 Hf 0.000 0.333 0.000 [4 per cell]
3 Hf 0.000 0.333 0.500 [4 per cell]
4 Zr 0.000 0.000 0.500 [2 per cell]
5 Os 0.000 0.167 0.249 [8 per cell]
6 Os 0.000 0.500 0.248 [4 per cell]

Starting from a structure optimized by DFT (GGA-PBE), the powder diffractogram of LaBe2Tc was simulated for Cu Kα, 1.54184 Å.

Most intense lines, 15° ≤ 2θ ≤ 90°, in order of rising 2θ:
23.8 deg, rel. 96, hkl 2 0 0
31.1 deg, rel. 100, hkl 1 1 -1
35.2 deg, rel. 78, hkl 1 1 1
36.4 deg, rel. 37, hkl 0 0 2
37.1 deg, rel. 33, hkl 2 0 -2
43.5 deg, rel. 46, hkl 3 1 -1
48.7 deg, rel. 16, hkl 4 0 0
52.6 deg, rel. 25, hkl 3 1 1
57.1 deg, rel. 17, hkl 2 2 0
64.8 deg, rel. 24, hkl 2 2 -2

Atomic structure:
a b c (Å): 7.852 3.574 5.177
angles (deg): 90.00 107.71 90.00
Space group C2/m (No. 12)
Symmetry-distinct sites (fractional):
1 La 0.000 0.000 0.000 [2 per cell]
2 Be 0.208 0.000 0.573 [4 per cell]
3 Tc 0.000 0.500 0.500 [2 per cell]

Starting from a structure optimized by DFT (GGA-PBE), the powder diffractogram of AcLa5Au6 was simulated for Cu Kα, 1.54184 Å.

Most intense lines, 15° ≤ 2θ ≤ 90°, in order of rising 2θ:
33.2 deg, rel. 51, hkl 2 0 -1
33.4 deg, rel. 100, hkl 1 2 1
47.5 deg, rel. 9, hkl 2 0 2
47.7 deg, rel. 9, hkl 2 0 -4
48.3 deg, rel. 9, hkl 0 4 0
59.3 deg, rel. 19, hkl 3 2 0
59.5 deg, rel. 19, hkl 3 2 -3
59.8 deg, rel. 19, hkl 2 4 -1
70.1 deg, rel. 6, hkl 2 4 2
70.2 deg, rel. 6, hkl 2 4 -4

Atomic structure:
a b c (Å): 5.407 7.542 8.527
angles (deg): 90.00 108.25 90.00
Space group P2/m (No. 10)
Symmetry-distinct sites (fractional):
1 Ac 0.000 0.000 0.000 [1 per cell]
2 La 0.000 0.500 0.000 [1 per cell]
3 La 0.333 0.000 0.667 [2 per cell]
4 La 0.333 0.500 0.666 [2 per cell]
5 Au 0.171 0.253 0.340 [4 per cell]
6 Au 0.500 0.260 0.000 [2 per cell]

Starting from a structure optimized by DFT (GGA-PBE), the powder diffractogram of Tb5Er8Tm was simulated for Cu Kα, 1.54184 Å.

Most intense lines, 15° ≤ 2θ ≤ 90°, in order of rising 2θ:
28.5 deg, rel. 66, hkl 1 0 3
29.7 deg, rel. 71, hkl 3 0 1
29.8 deg, rel. 82, hkl 3 1 0
32.2 deg, rel. 22, hkl 2 2 2
34.4 deg, rel. 100, hkl 1 2 3
34.9 deg, rel. 53, hkl 3 1 2
35.3 deg, rel. 58, hkl 2 3 1
55.9 deg, rel. 17, hkl 5 0 3
60.1 deg, rel. 18, hkl 1 6 1
64.3 deg, rel. 22, hkl 3 1 6

Atomic structure:
a b c (Å): 9.484 9.484 9.936
angles (deg): 90.00 90.00 90.00
Space group I-4 (No. 82)
Symmetry-distinct sites (fractional):
1 Tb 0.000 0.000 0.000 [2 per cell]
2 Tb 0.111 0.213 0.422 [8 per cell]
3 Er 0.071 0.325 0.093 [8 per cell]
4 Er 0.088 0.174 0.752 [8 per cell]
5 Tm 0.000 0.500 0.750 [2 per cell]

Starting from a structure optimized by DFT (GGA-PBE), the powder diffractogram of KZn2SnAu4 was simulated for Cu Kα, 1.54184 Å.

Most intense lines, 15° ≤ 2θ ≤ 90°, in order of rising 2θ:
20.6 deg, rel. 16, hkl 1 0 1
27.2 deg, rel. 32, hkl 0 1 5
32.5 deg, rel. 33, hkl 0 0 9
35.6 deg, rel. 100, hkl 1 1 0
41.9 deg, rel. 21, hkl 1 0 10
45.3 deg, rel. 14, hkl 2 0 5
48.9 deg, rel. 63, hkl 1 1 9
63.9 deg, rel. 19, hkl 3 0 0
73.5 deg, rel. 19, hkl 3 0 9
79.2 deg, rel. 18, hkl 1 1 18

Atomic structure:
a b c (Å): 5.0492 5.0492 24.7892
angles (deg): 90.00 90.00 120.00
Space group R-3m (No. 166, hexagonal axes)
Symmetry-distinct sites (fractional):
1 K 0.0000 0.0000 0.0000 [3 per cell]
2 Zn 0.0000 0.0000 0.2786 [6 per cell]
3 Sn 0.0000 0.0000 0.5000 [3 per cell]
4 Au 0.0000 0.0000 0.1745 [6 per cell]
5 Au 0.0000 0.0000 0.3873 [6 per cell]

Starting from a structure optimized by DFT (GGA-PBE), the powder diffractogram of K2AcErTe4 was simulated for Cu Kα, 1.54184 Å.

Most intense lines, 15° ≤ 2θ ≤ 90°, in order of rising 2θ:
22.3 deg, rel. 12, hkl 1 1 0
26.3 deg, rel. 100, hkl 1 1 1
33.6 deg, rel. 18, hkl 2 0 -3
36.5 deg, rel. 36, hkl 1 1 -3
38.6 deg, rel. 37, hkl 0 2 0
40.2 deg, rel. 13, hkl 3 1 -2
46.1 deg, rel. 11, hkl 1 1 -4
47.4 deg, rel. 13, hkl 2 2 -2
54.2 deg, rel. 11, hkl 2 2 2
59.8 deg, rel. 13, hkl 0 2 4

Atomic structure:
a b c (Å): 8.088 4.658 8.692
angles (deg): 90.00 108.00 90.00
Space group P2/m (No. 10)
Symmetry-distinct sites (fractional):
1 K 0.000 0.000 0.000 [1 per cell]
2 K 0.500 0.500 0.000 [1 per cell]
3 Ac 0.000 0.500 0.500 [1 per cell]
4 Er 0.500 0.000 0.500 [1 per cell]
5 Te 0.259 0.000 0.719 [2 per cell]
6 Te 0.281 0.500 0.291 [2 per cell]